# CrBi2PdO6
Computed X-ray powder pattern, a wavelength of 1.5418 Å. Input: DFT lattice parameters and positions (PBE+U).
Peak positions follow from Bragg's law for the DFT cell and can differ from measured ones.

Largest 12 diffraction maxima, in order of rising 2θ, 5° ≤ 2θ ≤ 70°:
18.0°, d = 4.937 Å, I 54, (0 0 1)
28.7°, d = 3.115 Å, I 100, (1 1 0)
29.4°, d = 3.043 Å, I 89, (1 -1 1)
31.3°, d = 2.858 Å, I 92, (-1 1 1)
32.5°, d = 2.753 Å, I 79, (1 1 -2)
33.4°, d = 2.682 Å, I 63, (0 2 -1)
36.2°, d = 2.483 Å, I 49, (2 0 -1)
36.4°, d = 2.468 Å, I 50, (0 0 2)
48.4°, d = 1.879 Å, I 30, (2 0 1)
50.5°, d = 1.809 Å, I 30, (2 2 -2)
57.6°, d = 1.599 Å, I 28, (1 -3 0)
59.0°, d = 1.565 Å, I 29, (3 1 -1)

Structure:
```
data_CrBi2PdO6
_cell_length_a 5.010
_cell_length_b 5.371
_cell_length_c 5.804
_cell_angle_alpha 114.78
_cell_angle_beta 108.31
_cell_angle_gamma 90.50
_space_group_name_H-M_alt 'P -1'
_space_group_IT_number 2
_space_group_name_Hall '-P 1'
loop_
_atom_site_label
_atom_site_fract_x
_atom_site_fract_y
_atom_site_fract_z
Cr1 0.000 0.000 0.000
Bi1 0.231 0.763 0.485
Pd1 0.500 0.500 0.000
O1 0.179 0.665 0.829
O2 0.198 0.160 0.827
O3 0.298 0.132 0.358
```